Diffraction record for Zn2AsHO5. The powder X-ray diffraction pattern is simulated, not measured: it uses a crystal structure in Alexandria, relaxed with GGA-PBE and λ = 1.5418 Å (Cu Kα).
Neutral-atom scattering factors, no anomalous dispersion.

```
Zn2AsHO5
1.0
8.468 0.000 0.000
0.000 8.631 0.000
0.000 0.000 6.169
Zn As H O
8 4 4 20
Cartesian
0.000 0.000 1.527 Zn
0.000 0.000 4.642 Zn
1.142 3.142 0.000 Zn
3.092 7.458 3.085 Zn
4.234 4.316 1.558 Zn
4.234 4.316 4.612 Zn
5.376 1.173 3.085 Zn
7.326 5.489 0.000 Zn
2.117 2.108 3.085 As
2.117 6.424 0.000 As
6.351 2.207 0.000 As
6.352 6.523 3.085 As
1.804 0.711 0.000 H
2.430 5.027 3.085 H
6.038 3.604 3.085 H
6.665 7.920 0.000 H
0.614 1.249 3.085 O
0.884 5.219 0.000 O
0.907 1.103 0.000 O
1.948 7.455 1.378 O
1.948 7.455 4.791 O
2.286 3.139 1.706 O
2.286 3.139 4.463 O
3.327 5.419 3.085 O
3.350 0.904 3.085 O
3.620 5.564 0.000 O
4.849 3.067 0.000 O
5.118 7.727 3.085 O
5.141 3.213 3.085 O
6.182 5.492 1.706 O
6.182 5.492 4.463 O
6.520 1.176 1.378 O
6.520 1.176 4.791 O
7.561 7.528 0.000 O
7.584 3.412 0.000 O
7.854 7.383 3.085 O
```

Most intense lines, 15° ≤ 2θ ≤ 90°, by angle:
2θ (°), intensity
17.7, 47
17.8, 58
29.6, 100
32.6, 63
35.8, 61
36.0, 81
36.5, 48
56.4, 73